# Nd4Te3I4
Simulated PXRD pattern, Cu Kα (λ = 1.5418 Å). Input: a structure optimized by DFT (GGA-PBE).

Largest 12 diffraction maxima, sorted by position, 2θ from 10° to 80°:
two_theta	I_rel
29.5	100
30.4	76
31.8	57
32.1	55
33.9	56
37.5	42
44.3	22
44.8	31
56.0	22
57.3	33
57.4	33
61.0	37

Atomic structure:
abc: 10.8892 10.8892 10.8892
angles: 158.57 128.97 55.95
Fractional coordinates of all 11 atoms:
1 Nd 0.2251 0.0000 0.2251
2 Nd 0.2290 0.2290 0.0000
3 Nd 0.7710 0.7710 0.0000
4 Nd 0.7749 0.0000 0.7749
5 Te 0.0910 0.5910 0.5000
6 Te 0.5000 0.5000 0.0000
7 Te 0.9090 0.4090 0.5000
8 I 0.1444 0.8307 0.3136
9 I 0.4829 0.1693 0.3136
10 I 0.5171 0.8307 0.6864
11 I 0.8556 0.1693 0.6864



# Nd4Te3I
Simulated PXRD pattern, Cu Kα (λ = 1.5418 Å). Input: a structure optimized by DFT (GGA-PBE).

Largest 12 diffraction maxima, sorted by position, 2θ from 10° to 80°:
two_theta	I_rel
27.9	100
39.6	40
40.1	35
49.1	21
50.0	5
55.3	2
57.6	12
64.9	18
65.6	14
71.9	7
72.2	12
73.2	4

Atomic structure:
abc: 14.8251 14.8251 14.8251
angles: 17.66 17.66 17.66
Fractional coordinates of all 8 atoms:
1 Nd 0.1188 0.1188 0.1188
2 Nd 0.3767 0.3767 0.3767
3 Nd 0.6233 0.6233 0.6233
4 Nd 0.8812 0.8812 0.8812
5 Te 0.0000 0.0000 0.0000
6 Te 0.2514 0.2514 0.2514
7 Te 0.7486 0.7486 0.7486
8 I 0.5000 0.5000 0.5000



# NdThI4
Simulated PXRD pattern, Cu Kα (λ = 1.5418 Å). Input: a structure optimized by DFT (GGA-PBE).

Largest 12 diffraction maxima, sorted by position, 2θ from 10° to 80°:
two_theta	I_rel
10.2	58
25.7	25
29.0	100
30.9	12
37.7	16
37.9	32
41.8	12
44.9	20
45.0	10
54.4	11
63.1	14
73.0	10

Atomic structure:
abc: 7.0041 4.0309 8.9329
angles: 90.00 104.80 90.00
Fractional coordinates of all 6 atoms:
1 Nd 0.0000 0.0000 0.0000
2 Th 0.5000 0.5000 0.0000
3 I 0.2508 0.0000 0.7427
4 I 0.2514 0.5000 0.2543
5 I 0.7492 0.0000 0.2573
6 I 0.7486 0.5000 0.7457



# Nd4TlI5
Simulated PXRD pattern, Cu Kα (λ = 1.5418 Å). Input: a structure optimized by DFT (GGA-PBE).

Largest 12 diffraction maxima, sorted by position, 2θ from 10° to 80°:
two_theta	I_rel
27.9	100
39.1	13
39.4	26
40.4	24
40.7	12
47.8	7
49.6	6
50.1	13
57.7	12
64.5	12
66.0	11
66.4	6

Atomic structure:
abc: 10.0312 10.0312 9.2188
angles: 101.20 101.20 25.55
Fractional coordinates of all 10 atoms:
1 Nd 0.0017 0.0017 0.2314
2 Nd 0.3411 0.3411 0.9299
3 Nd 0.6589 0.6589 0.0701
4 Nd 0.9983 0.9983 0.7686
5 Tl 0.5000 0.5000 0.0000
6 I 0.1686 0.1686 0.3276
7 I 0.1698 0.1698 0.8179
8 I 0.5000 0.5000 0.5000
9 I 0.8302 0.8302 0.1821
10 I 0.8314 0.8314 0.6724



# Nd3TlI7
Simulated PXRD pattern, Cu Kα (λ = 1.5418 Å). Input: a structure optimized by DFT (GGA-PBE).

Largest 12 diffraction maxima, sorted by position, 2θ from 10° to 80°:
two_theta	I_rel
11.9	11
23.8	11
26.3	12
26.7	100
33.7	41
42.0	32
43.2	14
50.5	17
54.9	10
65.6	9
67.7	14
71.5	9

Atomic structure:
abc: 8.5987 8.5987 7.5981
angles: 90.00 90.00 120.00
Fractional coordinates of all 11 atoms:
1 Nd 0.0162 0.5081 0.0000
2 Nd 0.4919 0.5081 0.0000
3 Nd 0.4919 0.9838 0.0000
4 Tl 0.3333 0.6667 0.6194
5 I 0.1651 0.3302 0.2604
6 I 0.1651 0.8349 0.2604
7 I 0.3266 0.1633 0.7579
8 I 0.6667 0.3333 0.2560
9 I 0.6698 0.8349 0.2604
10 I 0.8367 0.1633 0.7579
11 I 0.8367 0.6734 0.7579



# NiI4
Simulated PXRD pattern, Cu Kα (λ = 1.5418 Å). Input: a structure optimized by DFT (GGA-PBE).

Largest 12 diffraction maxima, sorted by position, 2θ from 10° to 80°:
two_theta	I_rel
15.1	33
15.5	17
20.0	100
24.1	39
26.7	25
29.4	23
31.3	22
32.4	32
32.7	25
33.6	19
42.6	25
48.3	16

Atomic structure:
abc: 6.4229 8.0647 9.6489
angles: 85.39 74.79 66.58
Fractional coordinates of all 10 atoms:
1 Ni 0.0400 0.2485 0.2339
2 Ni 0.9600 0.7515 0.7661
3 I 0.1364 0.4756 0.6064
4 I 0.2200 0.0291 0.0296
5 I 0.3182 0.5583 0.8527
6 I 0.3240 0.0562 0.3704
7 I 0.6760 0.9438 0.6296
8 I 0.6818 0.4417 0.1473
9 I 0.7800 0.9709 0.9704
10 I 0.8636 0.5244 0.3936